No. 1
For Tb6Tm4Zr, a DFT-relaxed cell (GGA-PBE, Alexandria) gives the computed powder XRD pattern in this record (Cu Kα X-rays).

Structural model:
Cell: 8.738 8.738 8.767 Å, 90.00 90.00 90.00°
Space group P4/mnc (No. 128)
Unique sites:
Tb1 0.000 0.000 0.174 (multiplicity 4)
Tb2 0.150 0.346 0.500 (multiplicity 8)
Tm1 0.146 0.646 0.250 (multiplicity 8)
Zr1 0.000 0.000 0.500 (multiplicity 2)

Top 10 peaks for 2θ = 10–80°, by angle:
- 2θ 28.9, intensity 9, (2 2 0)
- 2θ 30.6, intensity 100, (2 1 2)
- 2θ 32.4, intensity 63, (3 1 0)
- 2θ 38.5, intensity 9, (2 1 3)
- 2θ 41.2, intensity 9, (0 0 4)
- 2θ 47.7, intensity 10, (4 1 2)
- 2θ 53.4, intensity 11, (3 1 4)
- 2θ 60.9, intensity 22, (5 2 2)
- 2θ 61.8, intensity 9, (3 3 4)
- 2θ 68.6, intensity 10, (2 1 6)

---

No. 2
For Cd3Si5, a DFT-relaxed cell (GGA-PBE, Alexandria) gives the computed powder XRD pattern in this record (Cu Kα X-rays).

Structural model:
Cell: 3.344 3.344 15.269 Å, 90.00 90.00 90.00°
Space group P4/mmm (No. 123)
Unique sites:
Cd1 0.000 0.000 0.000 (multiplicity 1)
Cd2 0.500 0.500 0.386 (multiplicity 2)
Si1 0.000 0.000 0.169 (multiplicity 2)
Si2 0.000 0.000 0.500 (multiplicity 1)
Si3 0.500 0.500 0.216 (multiplicity 2)

Top 10 peaks for 2θ = 10–80°, by angle:
- 2θ 11.6, intensity 18, (0 0 2)
- 2θ 27.3, intensity 100, (1 0 1)
- 2θ 29.2, intensity 60, (0 0 5)
- 2θ 35.7, intensity 59, (1 0 4)
- 2θ 38.1, intensity 64, (1 1 0)
- 2θ 44.7, intensity 32, (1 0 6)
- 2θ 48.7, intensity 37, (1 1 5)
- 2θ 54.9, intensity 21, (2 0 0)
- 2θ 62.4, intensity 18, (2 1 1)
- 2θ 63.4, intensity 20, (2 0 5)